Entry 1:
Diffraction record for SbSe8. The X-ray powder pattern is simulated, not measured: it uses a cell relaxed with PBE and λ = 1.5418 Å (Cu Kα).
Intensities are scaled so that the largest is 100.

Most intense lines, 15 to 90 degrees two-theta, by intensity:
2theta	I_rel
32.78	100
17.18	42
48.53	32
36.95	25
40.12	20
51.64	16
37.24	15
55.68	15
67.34	14
82.73	13

Cell lengths 7.6361, 7.6361, 7.6361 Å; angles 94.97, 94.97, 145.77 degrees
Element x y z (fractional)
Sb: 0.0000 0.0000 0.0000
Se: 0.0000 0.3805 0.3805
Se: 0.0000 0.6195 0.6195
Se: 0.3674 0.3674 0.7348
Se: 0.3674 0.6326 0.0000
Se: 0.3805 0.0000 0.3805
Se: 0.6195 0.0000 0.6195
Se: 0.6326 0.3674 0.0000
Se: 0.6326 0.6326 0.2652

Entry 2:
Diffraction record for Nd6C2SI3. The X-ray powder pattern is simulated, not measured: it uses a cell relaxed with PBE and λ = 1.5418 Å (Cu Kα).
Intensities are scaled so that the largest is 100.

Most intense lines, 15 to 90 degrees two-theta, by intensity:
2theta	I_rel
30.10	100
32.30	54
45.44	39
58.50	31
34.83	24
26.06	23
40.62	18
55.47	17
26.91	15
58.21	14

Cell lengths 6.9152, 6.9152, 8.0643 Å; angles 98.22, 98.22, 120.01 degrees
Element x y z (fractional)
Nd: 0.0873 0.4413 0.8238
Nd: 0.2047 0.2047 0.1756
Nd: 0.4413 0.0873 0.8238
Nd: 0.5587 0.9127 0.1762
Nd: 0.7953 0.7953 0.8244
Nd: 0.9127 0.5587 0.1762
C: 0.1667 0.8333 0.0000
C: 0.8333 0.1667 0.0000
S: 0.5000 0.5000 0.0000
I: 0.0000 0.0000 0.5000
I: 0.3359 0.6641 0.5000
I: 0.6641 0.3359 0.5000

Entry 3:
Diffraction record for Tb3Zn3Ni2. The X-ray powder pattern is simulated, not measured: it uses a cell relaxed with PBE and λ = 1.5418 Å (Cu Kα).
Intensities are scaled so that the largest is 100.

Most intense lines, 15 to 90 degrees two-theta, by intensity:
2theta	I_rel
37.31	100
33.27	95
35.87	78
39.51	74
40.07	73
30.69	72
42.48	44
34.39	43
35.39	39
54.74	38

Cell lengths 7.4275, 15.6450, 5.3968 Å; angles 90.00, 90.00, 90.00 degrees
Element x y z (fractional)
Tb: 0.0375 0.1067 0.1177
Tb: 0.0375 0.3933 0.1177
Tb: 0.1658 0.2500 0.6362
Tb: 0.3342 0.7500 0.1362
Tb: 0.4625 0.6067 0.6177
Tb: 0.4625 0.8933 0.6177
Tb: 0.5375 0.1067 0.3823
Tb: 0.5375 0.3933 0.3823
Tb: 0.6658 0.2500 0.8638
Tb: 0.8342 0.7500 0.3638
Tb: 0.9625 0.6067 0.8823
Tb: 0.9625 0.8933 0.8823
Zn: 0.1745 0.0336 0.6024
Zn: 0.1745 0.4664 0.6024
Zn: 0.1757 0.7500 0.6293
Zn: 0.3243 0.2500 0.1293
Zn: 0.3255 0.5336 0.1024
Zn: 0.3255 0.9664 0.1024
Zn: 0.6745 0.0336 0.8976
Zn: 0.6745 0.4664 0.8976
Zn: 0.6757 0.7500 0.8707
Zn: 0.8243 0.2500 0.3707
Zn: 0.8255 0.5336 0.3976
Zn: 0.8255 0.9664 0.3976
Ni: 0.1172 0.6140 0.3794
Ni: 0.1172 0.8860 0.3794
Ni: 0.3828 0.1140 0.8794
Ni: 0.3828 0.3860 0.8794
Ni: 0.6172 0.6140 0.1206
Ni: 0.6172 0.8860 0.1206
Ni: 0.8828 0.1140 0.6206
Ni: 0.8828 0.3860 0.6206

Entry 4:
Diffraction record for Sm3TmH8. The X-ray powder pattern is simulated, not measured: it uses a cell relaxed with PBE and λ = 1.5418 Å (Cu Kα).
Intensities are scaled so that the largest is 100.

Most intense lines, 15 to 90 degrees two-theta, by intensity:
2theta	I_rel
29.24	100
33.89	49
57.80	44
48.68	38
78.87	18
81.34	16
60.64	13
71.31	6

Cell lengths 5.2903, 5.2903, 5.2903 Å; angles 90.00, 90.00, 90.00 degrees
Element x y z (fractional)
Sm: 0.0000 0.0000 0.5000
Sm: 0.0000 0.5000 0.0000
Sm: 0.5000 0.0000 0.0000
Tm: 0.5000 0.5000 0.5000
H: 0.2579 0.2579 0.2579
H: 0.2579 0.2579 0.7421
H: 0.2579 0.7421 0.2579
H: 0.2579 0.7421 0.7421
H: 0.7421 0.2579 0.2579
H: 0.7421 0.2579 0.7421
H: 0.7421 0.7421 0.2579
H: 0.7421 0.7421 0.7421